(1)
Calculated powder diffractogram
Compound: MnCrBPdAu
Radiation: Cu Kα
Structure: the GGA-PBE geometry in Alexandria
Intensities are scaled so that the largest is 100.

Structural model:
Cell lengths 2.936, 7.952, 7.952 Å; angles 21.00, 90.00, 90.00 degrees
Fractional coordinates of all 5 atoms:
Mn  0.000  0.000  0.000
Cr  0.500  0.867  0.867
B  0.000  0.391  0.391
Pd  0.500  0.611  0.611
Au  0.000  0.240  0.240

Peak list (12 most intense, 10 to 80 degrees two-theta, in order of rising 2θ)
11.3°, I = 98.6
32.6°, I = 22.8
35.4°, I = 74.3
38.3°, I = 100.0
42.5°, I = 50.3
44.3°, I = 87.3
46.5°, I = 28.8
61.2°, I = 31.4
70.9°, I = 20.8
74.7°, I = 16.9
77.4°, I = 24.7
79.3°, I = 16.0

(2)
Calculated powder diffractogram
Compound: Ho4Er8Tm3
Radiation: Cu Kα
Structure: the GGA-PBE geometry in Alexandria
Intensities are scaled so that the largest is 100.

Structural model:
Cell lengths 12.233, 12.233, 12.233 Å; angles 32.39, 32.39, 32.39 degrees
Fractional coordinates of all 15 atoms:
Ho  0.000  0.000  0.000
Ho  0.164  0.164  0.164
Ho  0.500  0.500  0.500
Ho  0.836  0.836  0.836
Er  0.250  0.250  0.747
Er  0.250  0.747  0.250
Er  0.253  0.750  0.750
Er  0.255  0.255  0.255
Er  0.745  0.745  0.745
Er  0.747  0.250  0.250
Er  0.750  0.253  0.750
Er  0.750  0.750  0.253
Tm  0.000  0.500  0.500
Tm  0.500  0.000  0.500
Tm  0.500  0.500  0.000

Peak list (12 most intense, 10 to 80 degrees two-theta, in order of rising 2θ)
27.3°, I = 16.9
30.4°, I = 26.9
30.9°, I = 56.5
32.0°, I = 100.0
35.1°, I = 13.3
35.4°, I = 13.0
36.8°, I = 73.0
52.3°, I = 23.2
53.7°, I = 37.1
62.0°, I = 16.3
63.3°, I = 44.1
63.9°, I = 13.9

(3)
Calculated powder diffractogram
Compound: TlVMo2Pt
Radiation: Cu Kα
Structure: the GGA-PBE geometry in Alexandria
Intensities are scaled so that the largest is 100.

Structural model:
Cell lengths 4.917, 4.917, 4.729 Å; angles 90.00, 90.00, 90.00 degrees
Fractional coordinates of all 5 atoms:
Tl  0.000  0.000  0.000
V  0.000  0.000  0.500
Mo  0.000  0.500  0.000
Mo  0.500  0.000  0.000
Pt  0.500  0.500  0.500

Peak list (12 most intense, 10 to 80 degrees two-theta, in order of rising 2θ)
18.8°, I = 11.6
25.6°, I = 27.1
26.1°, I = 100.0
31.9°, I = 30.3
36.6°, I = 74.4
38.1°, I = 33.3
45.5°, I = 47.0
52.7°, I = 25.9
53.8°, I = 48.5
66.8°, I = 25.2
72.1°, I = 12.5
74.0°, I = 11.6